Simulated X-ray powder pattern of Np2Zn15Cu2 for Cu Kα, from a cell relaxed with PBE.
Lines closer than 0.1° are merged.

Largest 8 diffraction maxima, by angle, 15° ≤ 2θ ≤ 90°:
Position (°2θ), I_rel
28.55, 48
34.78, 44
35.87, 32
40.37, 64
40.59, 100
41.28, 51
59.11, 29
73.42, 23

Structure:
a b c (Å): 6.766 6.766 6.766
angles (deg): 82.65 82.65 82.65
Atoms (fractional coordinates):
Np: 0.161 0.161 0.161
Np: 0.839 0.839 0.839
Zn: 0.000 0.500 0.500
Zn: 0.148 0.148 0.654
Zn: 0.148 0.654 0.148
Zn: 0.210 0.500 0.790
Zn: 0.210 0.790 0.500
Zn: 0.346 0.852 0.852
Zn: 0.500 0.000 0.500
Zn: 0.500 0.210 0.790
Zn: 0.500 0.500 0.000
Zn: 0.500 0.790 0.210
Zn: 0.654 0.148 0.148
Zn: 0.790 0.210 0.500
Zn: 0.790 0.500 0.210
Zn: 0.852 0.346 0.852
Zn: 0.852 0.852 0.346
Cu: 0.396 0.396 0.396
Cu: 0.604 0.604 0.604

---

Simulated X-ray powder pattern of NpZn4Cu for Cu Kα, from a cell relaxed with PBE.
Lines closer than 0.1° are merged.

Largest 8 diffraction maxima, by angle, 15° ≤ 2θ ≤ 90°:
Position (°2θ), I_rel
20.65, 22
23.89, 18
34.04, 51
40.15, 100
42.02, 23
60.94, 19
65.07, 32
71.68, 21

Structure:
a b c (Å): 5.267 5.267 5.267
angles (deg): 60.00 60.00 60.00
Atoms (fractional coordinates):
Np: 0.000 0.000 0.000
Zn: 0.376 0.376 0.376
Zn: 0.376 0.376 0.873
Zn: 0.376 0.873 0.376
Zn: 0.873 0.376 0.376
Cu: 0.750 0.750 0.750

---

Simulated X-ray powder pattern of Cu4O3 for Cu Kα, from a cell relaxed with PBE.
Lines closer than 0.1° are merged.

Largest 8 diffraction maxima, by angle, 15° ≤ 2θ ≤ 90°:
Position (°2θ), I_rel
28.63, 13
36.80, 100
38.49, 31
44.75, 60
60.47, 29
65.15, 17
77.23, 23
78.29, 13

Structure:
a b c (Å): 4.050 4.050 9.355
angles (deg): 90.00 90.00 90.00
Atoms (fractional coordinates):
Cu: 0.250 0.250 0.209
Cu: 0.250 0.250 0.765
Cu: 0.250 0.750 0.000
Cu: 0.250 0.750 0.500
Cu: 0.750 0.250 0.000
Cu: 0.750 0.250 0.500
Cu: 0.750 0.750 0.235
Cu: 0.750 0.750 0.791
O: 0.250 0.250 0.513
O: 0.250 0.750 0.203
O: 0.250 0.750 0.797
O: 0.750 0.250 0.203
O: 0.750 0.250 0.797
O: 0.750 0.750 0.487

---

Simulated X-ray powder pattern of Cu6O for Cu Kα, from a cell relaxed with PBE.
Lines closer than 0.1° are merged.

Largest 8 diffraction maxima, by angle, 15° ≤ 2θ ≤ 90°:
Position (°2θ), I_rel
19.84, 100
31.49, 51
37.52, 90
39.16, 86
43.89, 57
45.57, 62
46.98, 61
50.90, 65

Structure:
a b c (Å): 4.956 10.401 6.189
angles (deg): 90.00 90.00 90.00
Atoms (fractional coordinates):
Cu: 0.000 0.000 0.182
Cu: 0.000 0.000 0.818
Cu: 0.235 0.361 0.500
Cu: 0.235 0.639 0.500
Cu: 0.265 0.139 0.500
Cu: 0.265 0.861 0.500
Cu: 0.500 0.500 0.182
Cu: 0.500 0.500 0.818
Cu: 0.735 0.139 0.500
Cu: 0.735 0.861 0.500
Cu: 0.765 0.361 0.500
Cu: 0.765 0.639 0.500
O: 0.000 0.000 0.500
O: 0.500 0.500 0.500

---

Simulated X-ray powder pattern of Cu4O3 for Cu Kα, from a cell relaxed with PBE.
Lines closer than 0.1° are merged.

Largest 8 diffraction maxima, by angle, 15° ≤ 2θ ≤ 90°:
Position (°2θ), I_rel
35.43, 100
36.53, 16
43.30, 19
57.90, 29
62.90, 11
65.04, 15
74.32, 20
74.98, 7

Structure:
a b c (Å): 6.455 6.455 6.455
angles (deg): 125.51 125.51 80.69
Atoms (fractional coordinates):
Cu: 0.000 0.000 0.000
Cu: 0.000 0.000 0.500
Cu: 0.000 0.500 0.000
Cu: 0.000 0.500 0.500
Cu: 0.500 0.000 0.000
Cu: 0.500 0.000 0.500
Cu: 0.500 0.500 0.000
Cu: 0.500 0.500 0.500
O: 0.112 0.362 0.750
O: 0.362 0.112 0.250
O: 0.375 0.625 0.750
O: 0.625 0.375 0.250
O: 0.638 0.888 0.750
O: 0.888 0.638 0.250

---

Simulated X-ray powder pattern of Cu8O7 for Cu Kα, from a cell relaxed with PBE.
Lines closer than 0.1° are merged.

Largest 8 diffraction maxima, by angle, 15° ≤ 2θ ≤ 90°:
Position (°2θ), I_rel
34.92, 51
35.37, 100
35.62, 29
36.34, 48
43.81, 35
56.70, 30
58.66, 28
74.44, 19

Structure:
a b c (Å): 6.423 6.423 5.938
angles (deg): 116.45 116.45 54.42
Atoms (fractional coordinates):
Cu: 0.000 0.000 0.000
Cu: 0.237 0.237 0.462
Cu: 0.251 0.758 0.441
Cu: 0.495 0.495 0.949
Cu: 0.496 0.996 0.960
Cu: 0.758 0.251 0.441
Cu: 0.759 0.759 0.460
Cu: 0.996 0.496 0.960
O: 0.183 0.183 0.104
O: 0.302 0.302 0.829
O: 0.442 0.442 0.592
O: 0.564 0.564 0.324
O: 0.688 0.688 0.088
O: 0.811 0.811 0.826
O: 0.947 0.947 0.555

---

Simulated X-ray powder pattern of Cu5O7 for Cu Kα, from a cell relaxed with PBE.
Lines closer than 0.1° are merged.

Largest 8 diffraction maxima, by angle, 15° ≤ 2θ ≤ 90°:
Position (°2θ), I_rel
31.27, 100
33.66, 89
35.57, 34
37.69, 36
42.39, 50
43.65, 29
43.92, 51
47.54, 32

Structure:
a b c (Å): 4.997 4.997 8.969
angles (deg): 108.91 108.91 33.34
Atoms (fractional coordinates):
Cu: 0.000 0.000 0.000
Cu: 0.108 0.108 0.421
Cu: 0.311 0.311 0.169
Cu: 0.689 0.689 0.831
Cu: 0.892 0.892 0.579
O: 0.046 0.046 0.792
O: 0.272 0.272 0.623
O: 0.335 0.335 0.918
O: 0.500 0.500 0.500
O: 0.665 0.665 0.082
O: 0.728 0.728 0.377
O: 0.954 0.954 0.208

---

Simulated X-ray powder pattern of Cu8O7 for Cu Kα, from a cell relaxed with PBE.
Lines closer than 0.1° are merged.

Largest 8 diffraction maxima, by angle, 15° ≤ 2θ ≤ 90°:
Position (°2θ), I_rel
37.10, 91
43.10, 100
47.19, 2
57.00, 1
62.60, 57
75.06, 33
79.02, 18
89.72, 1

Structure:
a b c (Å): 5.936 5.936 5.936
angles (deg): 60.00 60.00 60.00
Atoms (fractional coordinates):
Cu: 0.243 0.243 0.757
Cu: 0.243 0.757 0.243
Cu: 0.243 0.757 0.757
Cu: 0.250 0.250 0.250
Cu: 0.750 0.750 0.750
Cu: 0.757 0.243 0.243
Cu: 0.757 0.243 0.757
Cu: 0.757 0.757 0.243
O: 0.000 0.000 0.500
O: 0.000 0.500 0.000
O: 0.000 0.500 0.500
O: 0.500 0.000 0.000
O: 0.500 0.000 0.500
O: 0.500 0.500 0.000
O: 0.500 0.500 0.500

---

Simulated X-ray powder pattern of Cu8O7 for Cu Kα, from a cell relaxed with PBE.
Lines closer than 0.1° are merged.

Largest 8 diffraction maxima, by angle, 15° ≤ 2θ ≤ 90°:
Position (°2θ), I_rel
30.57, 3
35.45, 100
43.78, 16
47.51, 2
57.55, 27
63.65, 23
75.02, 25
83.15, 1

Structure:
a b c (Å): 6.537 6.537 6.537
angles (deg): 126.86 126.86 78.48
Atoms (fractional coordinates):
Cu: 0.368 0.615 0.753
Cu: 0.375 0.129 0.246
Cu: 0.385 0.137 0.753
Cu: 0.385 0.632 0.247
Cu: 0.863 0.615 0.247
Cu: 0.871 0.116 0.246
Cu: 0.871 0.625 0.754
Cu: 0.884 0.129 0.754
O: 0.000 0.000 0.000
O: 0.250 0.750 0.500
O: 0.265 0.265 0.000
O: 0.504 0.004 0.500
O: 0.735 0.735 0.000
O: 0.750 0.250 0.500
O: 0.996 0.496 0.500

---

Simulated X-ray powder pattern of Cu5O4 for Cu Kα, from a cell relaxed with PBE.
Lines closer than 0.1° are merged.

Largest 8 diffraction maxima, by angle, 15° ≤ 2θ ≤ 90°:
Position (°2θ), I_rel
19.86, 15
38.27, 30
42.91, 39
43.48, 100
48.23, 15
52.65, 22
62.30, 16
79.02, 24

Structure:
a b c (Å): 6.488 6.488 6.488
angles (deg): 92.88 92.88 154.10
Atoms (fractional coordinates):
Cu: 0.000 0.000 0.000
Cu: 0.332 0.332 0.665
Cu: 0.332 0.668 0.000
Cu: 0.668 0.332 0.000
Cu: 0.668 0.668 0.335
O: 0.000 0.217 0.217
O: 0.000 0.783 0.783
O: 0.217 0.000 0.217
O: 0.783 0.000 0.783

---

Simulated X-ray powder pattern of Cu5O7 for Cu Kα, from a cell relaxed with PBE.
Lines closer than 0.1° are merged.

Largest 8 diffraction maxima, by angle, 15° ≤ 2θ ≤ 90°:
Position (°2θ), I_rel
33.53, 29
35.41, 100
36.37, 24
41.62, 30
42.59, 49
44.17, 45
62.49, 26
74.97, 24

Structure:
a b c (Å): 5.152 5.152 17.726
angles (deg): 90.00 90.00 147.03
Atoms (fractional coordinates):
Cu: 0.000 0.000 0.000
Cu: 0.000 0.000 0.500
Cu: 0.271 0.729 0.576
Cu: 0.271 0.729 0.924
Cu: 0.461 0.539 0.155
Cu: 0.461 0.539 0.345
Cu: 0.539 0.461 0.655
Cu: 0.539 0.461 0.845
Cu: 0.729 0.271 0.076
Cu: 0.729 0.271 0.424
O: 0.076 0.924 0.102
O: 0.076 0.924 0.398
O: 0.166 0.834 0.662
O: 0.166 0.834 0.838
O: 0.358 0.642 0.024
O: 0.358 0.642 0.476
O: 0.457 0.543 0.750
O: 0.543 0.457 0.250
O: 0.642 0.358 0.524
O: 0.642 0.358 0.976
O: 0.834 0.166 0.162
O: 0.834 0.166 0.338
O: 0.924 0.076 0.602
O: 0.924 0.076 0.898

---

Simulated X-ray powder pattern of CuOs2O6 for Cu Kα, from a cell relaxed with PBE.
Lines closer than 0.1° are merged.

Largest 8 diffraction maxima, by angle, 15° ≤ 2θ ≤ 90°:
Position (°2θ), I_rel
20.61, 16
28.95, 100
36.10, 41
46.92, 26
55.67, 36
60.60, 24
64.92, 12
67.23, 9

Structure:
a b c (Å): 8.619 8.619 4.415
angles (deg): 90.00 90.00 120.00
Atoms (fractional coordinates):
Cu: 0.000 0.000 0.000
Cu: 0.333 0.667 0.500
Cu: 0.667 0.333 0.500
Os: 0.000 0.345 0.000
Os: 0.000 0.678 0.500
Os: 0.322 0.322 0.500
Os: 0.345 0.000 0.000
Os: 0.655 0.655 0.000
Os: 0.678 0.000 0.500
O: 0.100 0.558 0.252
O: 0.113 0.233 0.244
O: 0.120 0.887 0.244
O: 0.212 0.433 0.747
O: 0.221 0.788 0.747
O: 0.233 0.113 0.756
O: 0.433 0.212 0.253
O: 0.442 0.542 0.252
O: 0.458 0.900 0.252
O: 0.542 0.442 0.748
O: 0.558 0.100 0.748
O: 0.567 0.779 0.747
O: 0.767 0.880 0.244
O: 0.779 0.567 0.253
O: 0.788 0.221 0.253
O: 0.880 0.767 0.756
O: 0.887 0.120 0.756
O: 0.900 0.458 0.748